# CsPH2O2
Simulated powder X-ray diffraction pattern, copper Kα. Input: the PBE geometry in the Materials Project.
Lines closer than 0.1° are merged.

```
data_CsPH2O2
_cell_length_a 8.5185
_cell_length_b 6.8153
_cell_length_c 8.1769
_cell_angle_alpha 90.00
_cell_angle_beta 90.00
_cell_angle_gamma 90.00
_symmetry_space_group_name_H-M 'P n m a'
_symmetry_Int_Tables_number 62
loop_
_symmetry_equiv_pos_as_xyz
'x,y,z'
'-x,-y,-z'
'-x+1/2,-y,z+1/2'
'x+1/2,y,-z+1/2'
'x+1/2,-y+1/2,-z+1/2'
'-x+1/2,y+1/2,z+1/2'
'-x,y+1/2,-z'
'x,-y+1/2,z'
loop_
_atom_site_label
_atom_site_fract_x
_atom_site_fract_y
_atom_site_fract_z
Cs1 0.1341 0.2500 0.1363
P1 0.1113 0.2500 0.6707
H1 0.0252 0.7500 0.4312
H2 0.2348 0.2500 0.5515
O1 0.1178 0.0570 0.7633
```

Top 6 peaks for 10 to 80 degrees two-theta, low angle first:
d 4.460, 2θ 19.91, I = 31
d 3.686, 2θ 24.15, I = 43
d 3.612, 2θ 24.65, I = 100
d 3.242, 2θ 27.51, I = 57
d 2.530, 2θ 35.48, I = 32
d 2.502, 2θ 35.90, I = 37